# 1
This entry pairs a crystal structure of Nd2Br2O with its computed XRD peak list. Radiation: Cu Kα X-rays. Structure: a structure optimized by DFT (GGA-PBE).

Crystal structure
```
data_Nd2Br2O
_chemical_formula_sum 'Nd2 Br2 O1'
_cell_length_a 4.2697
_cell_length_b 4.2697
_cell_length_c 13.6301
_cell_angle_alpha 90.00
_cell_angle_beta 90.00
_cell_angle_gamma 90.00
_space_group_name_H-M_alt 'P 4/m m m'
_space_group_IT_number 123
_space_group_name_Hall '-P 4 2'
loop_
_atom_site_label
_atom_site_type_symbol
_atom_site_fract_x
_atom_site_fract_y
_atom_site_fract_z
Nd1 Nd 0.0000 0.0000 0.1577
Br1 Br 0.0000 0.0000 0.3572
O1 O 0.0000 0.0000 0.0000
```

Peak list (10 most intense, 15 to 90 degrees two-theta, sorted by position)
d/Å  2θ/deg  I/Imax  h k l
4.270  20.80  100  1 0 0
3.408  26.15  14  0 0 4
3.019  29.59  41  1 1 0
2.663  33.65  28  1 0 4
2.260  39.89  18  1 1 4
2.135  42.34  15  2 0 0
2.005  45.21  18  1 0 6
1.909  47.62  22  2 1 0
1.815  50.26  13  1 1 6
1.666  55.14  14  2 1 4

# 2
This entry pairs a crystal structure of KNaCaMg5Si8O22F2 with its computed XRD peak list. Radiation: Cu Kα X-rays. Structure: a structure optimized by DFT (GGA-PBE).

Crystal structure
```
data_KNaCaMg5Si8O22F2
_chemical_formula_sum 'K1 Na1 Ca1 Mg5 Si8 O22 F2'
_cell_length_a 5.3199
_cell_length_b 10.1038
_cell_length_c 10.3943
_cell_angle_alpha 60.93
_cell_angle_beta 82.94
_cell_angle_gamma 75.36
_space_group_name_H-M_alt 'P 1'
_space_group_IT_number 1
loop_
_space_group_symop_operation_xyz
'x,y,z'
loop_
_atom_site_label
_atom_site_type_symbol
_atom_site_fract_x
_atom_site_fract_y
_atom_site_fract_z
K1 K 0.0000 0.0000 0.0000
Na1 Na 0.5251 0.2095 0.5544
Ca1 Ca 0.5251 0.7625 0.4482
Mg1 Mg 0.0252 0.3045 0.3648
Mg2 Mg 0.0249 0.4863 0.0021
Mg3 Mg 0.0251 0.6637 0.6466
Mg4 Mg 0.5249 0.3955 0.1835
Mg5 Mg 0.5248 0.5753 0.8241
Si1 Si 0.2204 0.5983 0.3445
Si2 Si 0.2214 0.9437 0.6582
Si3 Si 0.3241 0.1270 0.1708
Si4 Si 0.3251 0.2959 0.8311
Si5 Si 0.7251 0.8469 0.8313
Si6 Si 0.7261 0.6763 0.1706
Si7 Si 0.8288 0.3724 0.6578
Si8 Si 0.8297 0.0310 0.3450
O1 O 0.1166 0.2733 0.7433
O2 O 0.1220 0.0108 0.2625
O3 O 0.2258 0.0941 0.5039
O4 O 0.2279 0.6046 0.4955
O5 O 0.2440 0.2913 0.1714
O6 O 0.2435 0.4619 0.8305
O7 O 0.2962 0.4372 0.3369
O8 O 0.3005 0.7741 0.6606
O9 O 0.3302 0.1522 0.0016
O10 O 0.4322 0.9424 0.7674
O11 O 0.4350 0.7094 0.2392
O12 O 0.6159 0.0254 0.2388
O13 O 0.6187 0.2637 0.7678
O14 O 0.7215 0.8200 0.0016
O15 O 0.7494 0.5392 0.6607
O16 O 0.7537 0.1998 0.3368
O17 O 0.8061 0.5112 0.1714
O18 O 0.8066 0.6813 0.8306
O19 O 0.8220 0.8735 0.4955
O20 O 0.8241 0.3756 0.5039
O21 O 0.9277 0.7005 0.2628
O22 O 0.9331 0.9575 0.7431
F1 F 0.3122 0.5855 0.0012
F2 F 0.7386 0.3864 0.0011
```

Peak list (10 most intense, 15 to 90 degrees two-theta, sorted by position)
d/Å  2θ/deg  I/Imax  h k l
3.420  26.06  96  -1 1 2
3.327  26.79  77  0 2 -1
3.207  27.82  60  0 3 2
2.991  29.88  65  1 -2 0
2.784  32.15  47  1 3 3
2.732  32.78  100  1 -1 2
2.610  34.36  49  1 0 3
2.559  35.06  81  2 2 1
2.375  37.89  50  1 3 -1
2.189  41.25  50  1 -2 2

# 3
This entry pairs a crystal structure of Nb2AgS4 with its computed XRD peak list. Radiation: Cu Kα X-rays. Structure: a structure optimized by DFT (GGA-PBE).

Crystal structure
```
data_Nb2AgS4
_chemical_formula_sum 'Nb2 Ag1 S4'
_cell_length_a 3.3966
_cell_length_b 3.3966
_cell_length_c 14.5663
_cell_angle_alpha 90.00
_cell_angle_beta 90.00
_cell_angle_gamma 120.00
_space_group_name_H-M_alt 'P 3 m 1'
_space_group_IT_number 156
loop_
_space_group_symop_operation_xyz
'x,y,z'
'-y,x-y,z'
'-x+y,-x,z'
'-y,-x,z'
'-x+y,y,z'
'x,x-y,z'
loop_
_atom_site_label
_atom_site_type_symbol
_atom_site_fract_x
_atom_site_fract_y
_atom_site_fract_z
Nb1 Nb 0.0000 0.0000 0.0000
Nb2 Nb 0.3333 0.6667 0.5114
Ag1 Ag 0.3333 0.6667 0.2750
S1 S 0.0000 0.0000 0.4032
S2 S 0.0000 0.0000 0.6152
S3 S 0.3333 0.6667 0.1076
S4 S 0.3333 0.6667 0.8962
```

Peak list (10 most intense, 15 to 90 degrees two-theta, sorted by position)
d/Å  2θ/deg  I/Imax  h k l
4.855  18.27  23  0 0 3
3.642  24.44  22  0 0 4
2.942  30.39  70  1 0 0
2.883  31.02  44  0 1 1
2.727  32.84  24  1 0 2
2.516  35.69  68  1 0 3
2.288  39.38  26  0 1 4
2.070  43.73  100  0 1 5
1.698  53.99  50  1 1 0
1.313  71.91  21  2 0 5

# 4
This entry pairs a crystal structure of Cs2RbAsI6 with its computed XRD peak list. Radiation: Cu Kα X-rays. Structure: a structure optimized by DFT (GGA-PBE).

Crystal structure
```
data_Cs2RbAsI6
_chemical_formula_sum 'Cs8 Rb4 As4 I24'
_cell_length_a 12.7374
_cell_length_b 12.7374
_cell_length_c 12.7374
_cell_angle_alpha 90.00
_cell_angle_beta 90.00
_cell_angle_gamma 90.00
_space_group_name_H-M_alt 'F m -3 m'
_space_group_IT_number 225
_space_group_name_Hall '-F 4 2 3'
loop_
_atom_site_label
_atom_site_type_symbol
_atom_site_fract_x
_atom_site_fract_y
_atom_site_fract_z
Cs1 Cs 0.2500 0.2500 0.2500
Rb1 Rb 0.0000 0.0000 0.0000
As1 As 0.0000 0.0000 0.5000
I1 I 0.0000 0.0000 0.2738
```

Peak list (10 most intense, 15 to 90 degrees two-theta, sorted by position)
d/Å  2θ/deg  I/Imax  h k l
4.503  19.71  14  2 2 0
3.677  24.21  100  2 2 2
3.184  28.02  100  4 0 0
2.451  36.66  14  3 3 3
2.252  40.04  70  4 4 0
1.920  47.34  39  6 2 2
1.838  49.58  23  4 4 4
1.461  63.69  12  6 6 2
1.424  65.55  26  8 4 0
1.300  72.74  17  8 4 4

# 5
This entry pairs a crystal structure of GeS2 with its computed XRD peak list. Radiation: Cu Kα X-rays. Structure: a structure optimized by DFT (GGA-PBE).

Crystal structure
```
data_GeS2
_chemical_formula_sum 'Ge4 S8'
_cell_length_a 5.7855
_cell_length_b 5.7855
_cell_length_c 9.1009
_cell_angle_alpha 90.00
_cell_angle_beta 90.00
_cell_angle_gamma 90.00
_space_group_name_H-M_alt 'I -4 2 d'
_space_group_IT_number 122
_space_group_name_Hall 'I -4 2bw'
loop_
_atom_site_label
_atom_site_type_symbol
_atom_site_fract_x
_atom_site_fract_y
_atom_site_fract_z
Ge1 Ge 0.0000 0.0000 0.0000
S1 S 0.2238 0.7500 0.1250
```

Peak list (10 most intense, 15 to 90 degrees two-theta, sorted by position)
d/Å  2θ/deg  I/Imax  h k l
4.882  18.17  100  1 0 1
3.042  29.36  89  1 1 2
2.687  33.35  14  1 0 3
2.489  36.09  24  2 1 1
2.045  44.28  26  2 2 0
1.969  46.11  18  2 1 3
1.788  51.07  34  2 0 4
1.697  54.02  28  3 1 2
1.580  58.40  11  3 2 1
1.125  86.55  13  4 2 4